1.
Diffraction record for LaTlH6Ru. The PXRD pattern is simulated, not measured: it uses the GGA-PBE geometry in Alexandria and Cu Kα, 1.54184 Å.

Largest 12 diffraction maxima, in order of rising 2θ, 10 to 80 degrees two-theta:
- 20.80°, d 4.271, intensity 69
- 28.58°, d 3.124, intensity 1000
- 36.44°, d 2.466, intensity 505
- 44.91°, d 2.018, intensity 258
- 46.94°, d 1.936, intensity 269
- 54.70°, d 1.678, intensity 53
- 59.15°, d 1.562, intensity 115
- 60.84°, d 1.523, intensity 241
- 65.57°, d 1.424, intensity 91
- 71.50°, d 1.319, intensity 130
- 72.86°, d 1.298, intensity 90
- 77.40°, d 1.233, intensity 58

```
data_LaTlH6Ru
_cell_length_a 4.9319
_cell_length_b 4.9319
_cell_length_c 4.5804
_cell_angle_alpha 90.00
_cell_angle_beta 90.00
_cell_angle_gamma 120.00
_symmetry_space_group_name_H-M 'P 3 m 1'
_symmetry_Int_Tables_number 156
loop_
_symmetry_equiv_pos_as_xyz
'x,y,z'
'-y,x-y,z'
'-x+y,-x,z'
'-y,-x,z'
'-x+y,y,z'
'x,x-y,z'
loop_
_atom_site_label
_atom_site_fract_x
_atom_site_fract_y
_atom_site_fract_z
La1 0.0000 0.0000 0.0000
Tl1 0.3333 0.6667 0.4044
H1 0.3098 0.1549 0.4952
H2 0.5101 0.0203 0.9062
Ru1 0.6667 0.3333 0.6792
```



2.
Diffraction record for La2ZnHRu. The PXRD pattern is simulated, not measured: it uses the GGA-PBE geometry in Alexandria and Cu Kα, 1.54184 Å.

Largest 12 diffraction maxima, in order of rising 2θ, 10 to 80 degrees two-theta:
- 14.70°, d 6.025, intensity 319
- 25.07°, d 3.552, intensity 499
- 29.65°, d 3.013, intensity 374
- 30.74°, d 2.908, intensity 1000
- 30.87°, d 2.897, intensity 474
- 31.06°, d 2.879, intensity 504
- 31.82°, d 2.812, intensity 421
- 37.17°, d 2.419, intensity 422
- 37.98°, d 2.369, intensity 693
- 41.06°, d 2.198, intensity 570
- 44.70°, d 2.027, intensity 304
- 49.92°, d 1.827, intensity 362

```
data_La2ZnHRu
_cell_length_a 6.417
_cell_length_b 4.397
_cell_length_c 8.113
_cell_angle_alpha 90.00
_cell_angle_beta 110.11
_cell_angle_gamma 90.00
_symmetry_space_group_name_H-M 'P 1 21/m 1'
_symmetry_Int_Tables_number 11
loop_
_symmetry_equiv_pos_as_xyz
'x,y,z'
'-x,-y,-z'
'-x,y+1/2,-z'
'x,-y+1/2,z'
loop_
_atom_site_label
_atom_site_fract_x
_atom_site_fract_y
_atom_site_fract_z
La1 0.223 0.250 0.466
La2 0.242 0.250 0.926
Zn1 0.328 0.750 0.225
H1 0.167 0.750 0.755
Ru1 0.427 0.750 0.732
```